(1)
BaMgNi4O8: simulated PXRD pattern (Cu Ka), based on a DFT-relaxed cell (PBE+U, the Materials Project).

Atomic structure:
Cell: 5.9414 5.9414 6.5832 Å, 116.86 116.86 59.99°
Sites, in units of the cell vectors:
Ba 0.0000 0.0000 0.0000
Mg 0.6465 0.6465 0.9390
Ni 0.4951 0.4951 0.4860
Ni 0.4969 0.9986 0.4946
Ni 0.9986 0.4969 0.4946
Ni 0.9986 0.9986 0.4944
O 0.2185 0.2185 0.6576
O 0.2654 0.7128 0.6910
O 0.2840 0.2840 0.3149
O 0.2835 0.7462 0.3147
O 0.7128 0.2654 0.6910
O 0.7126 0.7126 0.6907
O 0.7462 0.2835 0.3147
O 0.7678 0.7678 0.3028

Main lines, sorted by position (2θ from 15° to 90°):
2theta  Rel. int.
15.78  46
18.03  39
20.22  49
27.36  18
30.08  27
31.74  20
31.87  31
34.15  35
36.52  43
41.11  100
56.47  34
62.54  32

=====

(2)
ZnCr4O9: simulated PXRD pattern (Cu Ka), based on a DFT-relaxed cell (PBE+U, the Materials Project).

Atomic structure:
Cell: 8.4024 8.4024 4.9181 Å, 90.00 90.00 90.00°
Sites, in units of the cell vectors:
Zn 0.2500 0.2500 0.0268
Zn 0.7500 0.7500 0.9732
Cr 0.0353 0.6593 0.3867
Cr 0.1593 0.9647 0.6133
Cr 0.3407 0.5353 0.6133
Cr 0.4647 0.8407 0.3867
Cr 0.5353 0.1593 0.6133
Cr 0.6593 0.4647 0.3867
Cr 0.8407 0.0353 0.3867
Cr 0.9647 0.3407 0.6133
O 0.0240 0.3184 0.9433
O 0.0382 0.1439 0.4642
O 0.1439 0.4618 0.4642
O 0.1816 0.0240 0.9433
O 0.2500 0.7500 0.5000
O 0.3184 0.4760 0.9433
O 0.3561 0.0382 0.4642
O 0.4618 0.3561 0.4642
O 0.4760 0.1816 0.9433
O 0.5240 0.8184 0.0567
O 0.5382 0.6439 0.5358
O 0.6439 0.9618 0.5358
O 0.6816 0.5240 0.0567
O 0.7500 0.2500 0.5000
O 0.8184 0.9760 0.0567
O 0.8561 0.5382 0.5358
O 0.9618 0.8561 0.5358
O 0.9760 0.6816 0.0567

Main lines, sorted by position (2θ from 15° to 90°):
2theta  Rel. int.
18.04  43
23.48  85
27.93  46
29.93  100
33.73  73
36.54  25
44.01  34
48.45  56
52.11  24
58.00  20
61.74  23
67.51  19

=====

(3)
LiFe4P3O12: simulated PXRD pattern (Cu Ka), based on a DFT-relaxed cell (PBE+U, the Materials Project).

Atomic structure:
Cell: 8.7071 8.7071 6.6112 Å, 107.96 107.96 94.39°
Sites, in units of the cell vectors:
Li 0.0083 0.9917 0.5000
Li 0.9917 0.0083 0.0000
Fe 0.0611 0.3802 0.3776
Fe 0.2780 0.7421 0.0086
Fe 0.3802 0.0611 0.8776
Fe 0.4779 0.4914 0.7869
Fe 0.4914 0.4779 0.2869
Fe 0.6341 0.9460 0.6169
Fe 0.7421 0.2780 0.5086
Fe 0.9460 0.6341 0.1169
P 0.1243 0.3351 0.8724
P 0.3060 0.7050 0.5019
P 0.3351 0.1243 0.3724
P 0.6691 0.8906 0.1234
P 0.7050 0.3060 0.0019
P 0.8906 0.6691 0.6234
O 0.0023 0.3338 0.6428
O 0.0188 0.6829 0.8582
O 0.0503 0.3959 0.0599
O 0.1549 0.1563 0.8361
O 0.1563 0.1549 0.3361
O 0.1933 0.7265 0.2855
O 0.2808 0.8152 0.7154
O 0.2902 0.4634 0.9444
O 0.2909 0.5252 0.5130
O 0.3338 0.0023 0.1428
O 0.3959 0.0503 0.5599
O 0.4634 0.2902 0.4444
O 0.4823 0.7218 0.4835
O 0.5252 0.2909 0.0130
O 0.5376 0.7316 0.0623
O 0.6085 0.9656 0.9362
O 0.6829 0.0188 0.3582
O 0.7218 0.4823 0.9835
O 0.7265 0.1933 0.7855
O 0.7316 0.5376 0.5623
O 0.8152 0.2808 0.2154
O 0.8454 0.8541 0.1513
O 0.8541 0.8454 0.6513
O 0.9656 0.6085 0.4362

Main lines, sorted by position (2θ from 15° to 90°):
2theta  Rel. int.
26.30  58
28.39  35
30.28  35
30.62  21
32.78  100
34.01  24
34.76  37
41.88  23
43.80  20
53.35  17
55.25  17
56.77  17

=====

(4)
NaNi2BiO6: simulated PXRD pattern (Cu Ka), based on a DFT-relaxed cell (PBE+U, the Materials Project).

Atomic structure:
Cell: 5.3189 5.3189 5.3189 Å, 60.14 60.14 60.14°
Sites, in units of the cell vectors:
Na 0.0000 0.0000 0.0000
Ni 0.2371 0.2371 0.2371
Ni 0.7370 0.7370 0.7370
Bi 0.5133 0.5133 0.5133
O 0.0736 0.8949 0.4784
O 0.4045 0.5671 0.9600
O 0.4784 0.0736 0.8949
O 0.5671 0.9600 0.4045
O 0.8949 0.4784 0.0736
O 0.9600 0.4045 0.5671

Main lines, sorted by position (2θ from 15° to 90°):
2theta  Rel. int.
20.43  73
23.63  11
33.67  100
39.70  43
48.35  27
52.98  15
54.53  12
60.17  34
60.32  8
64.25  11
74.64  8
80.65  8

=====

(5)
MgMn6O7F5: simulated PXRD pattern (Cu Ka), based on a DFT-relaxed cell (PBE+U, the Materials Project).

Atomic structure:
Cell: 5.1825 5.9580 7.8459 Å, 79.58 84.77 81.89°
Sites, in units of the cell vectors:
Mg 0.0000 0.0000 0.0000
Mn 0.3822 0.2697 0.6226
Mn 0.4791 0.6892 0.3106
Mn 0.4863 0.0853 0.0324
Mn 0.9359 0.1991 0.3254
Mn 0.9472 0.8335 0.6441
Mn 0.9515 0.5125 0.9757
O 0.1078 0.1010 0.5361
O 0.2281 0.9648 0.2061
O 0.2300 0.2523 0.8835
O 0.6445 0.3959 0.4173
O 0.7089 0.7845 0.1063
O 0.7691 0.2506 0.1018
O 0.7923 0.5838 0.7711
F 0.1612 0.4690 0.1824
F 0.1743 0.7771 0.8606
F 0.2250 0.6240 0.5158
F 0.6964 0.9025 0.4546
F 0.7193 0.0695 0.8017

Main lines, sorted by position (2θ from 15° to 90°):
2theta  Rel. int.
22.68  100
26.59  87
28.88  17
34.60  28
34.81  19
35.00  48
37.63  17
47.76  21
48.53  28
52.14  21
52.59  33
63.09  20

=====

(6)
CsFeNiF6: simulated PXRD pattern (Cu Ka), based on a DFT-relaxed cell (PBE+U, the Materials Project).

Atomic structure:
Cell: 7.4248 7.4248 7.4248 Å, 120.40 119.43 90.14°
Sites, in units of the cell vectors:
Cs 0.3711 0.1211 0.2500
Cs 0.6289 0.8789 0.7500
Fe 0.0000 0.5000 0.5000
Fe 0.5000 0.5000 0.0000
Ni 0.0000 0.0000 0.5000
Ni 0.0000 0.5000 0.0000
F 0.0688 0.4326 0.2577
F 0.0688 0.8111 0.6362
F 0.0739 0.8239 0.2500
F 0.3162 0.5662 0.7500
F 0.3251 0.1889 0.7577
F 0.3251 0.5674 0.1362
F 0.6749 0.4326 0.8638
F 0.6749 0.8111 0.2423
F 0.6838 0.4338 0.2500
F 0.9261 0.1761 0.7500
F 0.9312 0.1889 0.3638
F 0.9312 0.5674 0.7423

Main lines, sorted by position (2θ from 15° to 90°):
2theta  Rel. int.
23.97  66
28.05  100
28.21  96
28.27  94
29.31  25
29.60  29
44.63  42
44.92  24
45.07  23
48.64  19
49.08  72
57.81  24

=====

(7)
V3O5: simulated PXRD pattern (Cu Ka), based on a DFT-relaxed cell (PBE+U, the Materials Project).

Atomic structure:
Cell: 5.7156 5.7156 7.1086 Å, 109.47 109.47 53.87°
Sites, in units of the cell vectors:
V 0.0008 0.0008 0.2508
V 0.3685 0.3708 0.5316
V 0.3706 0.3706 0.0275
V 0.6294 0.6294 0.9725
V 0.6292 0.6315 0.4684
V 0.9992 0.9992 0.7492
O 0.0355 0.3544 0.9192
O 0.2020 0.7980 0.0000
O 0.2719 0.5651 0.2961
O 0.3345 0.0351 0.4075
O 0.4349 0.7281 0.7039
O 0.5730 0.2645 0.8161
O 0.6456 0.9645 0.0808
O 0.7355 0.4270 0.1839
O 0.8006 0.1994 0.5000
O 0.9649 0.6655 0.5925

Main lines, sorted by position (2θ from 15° to 90°):
2theta  Rel. int.
18.78  51
26.56  74
30.51  76
33.29  100
34.65  44
36.44  57
51.46  43
52.08  55
55.28  54
55.72  33
63.27  42
66.77  36